[1]
# TbNdYEr2
Computed X-ray diffraction stick pattern, a wavelength of 1.5418 Å. Input: DFT lattice parameters and positions (GGA-PBE).
Peak positions follow from Bragg's law for the DFT cell and can differ from measured ones.

Crystal structure
```
data_TbNdYEr2
_symmetry_space_group_name_H-M 'C m c m'
_symmetry_Int_Tables_number 63
_symmetry_space_group_name_Hall '-C 2c 2'
_cell_length_a 8.365
_cell_length_b 11.493
_cell_length_c 7.194
_cell_angle_alpha 90.00
_cell_angle_beta 90.00
_cell_angle_gamma 90.00
loop_
_atom_site_label
_atom_site_type_symbol
_atom_site_fract_x
_atom_site_fract_y
_atom_site_fract_z
Tb1 Tb 0.000 0.011 0.250
Nd1 Nd 0.000 0.279 0.250
Y1 Y 0.000 0.271 0.750
Er1 Er 0.189 0.500 0.000
```

The 8 most intense peaks (2θ from 10° to 90°), by angle:
2θ/deg  I (rel.)  index
15.42  53  0 2 0
28.10  44  1 1 2
29.29  54  0 2 2
31.13  64  0 4 0
32.84  100  2 0 2
35.89  59  1 3 2
40.00  49  3 3 0
45.88  66  2 4 2



[2]
# NdEr4Tc
Computed X-ray diffraction stick pattern, a wavelength of 1.5418 Å. Input: DFT lattice parameters and positions (GGA-PBE).
Peak positions follow from Bragg's law for the DFT cell and can differ from measured ones.

Crystal structure
```
data_NdEr4Tc
_symmetry_space_group_name_H-M 'P n m a'
_symmetry_Int_Tables_number 62
_symmetry_space_group_name_Hall '-P 2ac 2n'
_cell_length_a 8.765
_cell_length_b 3.734
_cell_length_c 20.435
_cell_angle_alpha 90.00
_cell_angle_beta 90.00
_cell_angle_gamma 90.00
loop_
_atom_site_label
_atom_site_type_symbol
_atom_site_fract_x
_atom_site_fract_y
_atom_site_fract_z
Nd1 Nd 0.227 0.250 0.188
Er1 Er 0.009 0.750 0.566
Er2 Er 0.041 0.750 0.295
Er3 Er 0.132 0.750 0.043
Er4 Er 0.149 0.750 0.859
Tc1 Tc 0.239 0.750 0.454
```

The 8 most intense peaks (2θ from 10° to 90°), by angle:
2θ/deg  I (rel.)  index
30.92  31  3 0 1
31.41  100  1 1 4
32.32  21  1 0 7
32.48  20  0 1 5
34.17  48  2 1 3
35.39  27  3 0 4
38.58  22  2 1 5
48.78  21  0 2 0



[3]
# NdEr2Tc9
Computed X-ray diffraction stick pattern, a wavelength of 1.5418 Å. Input: DFT lattice parameters and positions (GGA-PBE).
Peak positions follow from Bragg's law for the DFT cell and can differ from measured ones.

Crystal structure
```
data_NdEr2Tc9
_symmetry_space_group_name_H-M 'R -3 m'
_symmetry_Int_Tables_number 166
_symmetry_space_group_name_Hall '-R 3 2"'
_cell_length_a 5.3786
_cell_length_b 5.3786
_cell_length_c 26.0873
_cell_angle_alpha 90.00
_cell_angle_beta 90.00
_cell_angle_gamma 120.00
loop_
_atom_site_label
_atom_site_type_symbol
_atom_site_fract_x
_atom_site_fract_y
_atom_site_fract_z
Nd1 Nd 0.0000 0.0000 0.0000
Er1 Er 0.0000 0.0000 0.1435
Tc1 Tc 0.0000 0.0000 0.3391
Tc2 Tc 0.0000 0.0000 0.5000
Tc3 Tc 0.0114 0.5057 0.9159
```

The 8 most intense peaks (2θ from 10° to 90°), by angle:
2θ/deg  I (rel.)  index
30.72  18  1 0 7
33.32  33  1 1 0
33.55  26  0 1 8
38.82  29  0 2 1
39.39  100  1 1 6
42.51  19  2 0 5
63.65  27  0 3 6
69.97  21  2 2 0



[4]
# Nd4ErTe7
Computed X-ray diffraction stick pattern, a wavelength of 1.5418 Å. Input: DFT lattice parameters and positions (GGA-PBE).
Peak positions follow from Bragg's law for the DFT cell and can differ from measured ones.

Crystal structure
```
data_Nd4ErTe7
_symmetry_space_group_name_H-M 'C 1 m 1'
_symmetry_Int_Tables_number 8
_symmetry_space_group_name_Hall 'C -2y'
_cell_length_a 14.635
_cell_length_b 4.342
_cell_length_c 13.415
_cell_angle_alpha 90.00
_cell_angle_beta 104.60
_cell_angle_gamma 90.00
loop_
_atom_site_label
_atom_site_type_symbol
_atom_site_fract_x
_atom_site_fract_y
_atom_site_fract_z
Nd1 Nd 0.000 0.000 0.000
Nd2 Nd 0.086 0.500 0.382
Nd3 Nd 0.186 0.000 0.765
Nd4 Nd 0.386 0.500 0.570
Er1 Er 0.271 0.500 0.149
Te1 Te 0.048 0.500 0.622
Te2 Te 0.131 0.500 0.929
Te3 Te 0.152 0.000 0.223
Te4 Te 0.223 0.000 0.524
Te5 Te 0.350 0.500 0.789
Te6 Te 0.381 0.000 0.077
Te7 Te 0.421 0.500 0.351
```

The 8 most intense peaks (2θ from 10° to 90°), by angle:
2θ/deg  I (rel.)  index
26.71  59  2 0 3
27.58  83  3 1 -1
27.92  48  3 1 0
28.96  100  3 1 -2
29.91  70  3 1 1
31.85  52  3 1 -3
36.38  51  1 1 4
41.60  64  0 2 0



[5]
# Nd3Er4Te8
Computed X-ray diffraction stick pattern, a wavelength of 1.5418 Å. Input: DFT lattice parameters and positions (GGA-PBE).
Peak positions follow from Bragg's law for the DFT cell and can differ from measured ones.

Crystal structure
```
data_Nd3Er4Te8
_symmetry_space_group_name_H-M 'C 1 2/m 1'
_symmetry_Int_Tables_number 12
_symmetry_space_group_name_Hall '-C 2y'
_cell_length_a 12.415
_cell_length_b 12.426
_cell_length_c 8.770
_cell_angle_alpha 90.00
_cell_angle_beta 134.85
_cell_angle_gamma 90.00
loop_
_atom_site_label
_atom_site_type_symbol
_atom_site_fract_x
_atom_site_fract_y
_atom_site_fract_z
Nd1 Nd 0.000 0.000 0.000
Nd2 Nd 0.250 0.250 0.000
Er1 Er 0.000 0.500 0.000
Er2 Er 0.000 0.500 0.500
Er3 Er 0.250 0.250 0.500
Te1 Te 0.000 0.248 0.500
Te2 Te 0.000 0.255 0.000
Te3 Te 0.246 0.500 0.003
Te4 Te 0.247 0.500 0.491
```

The 8 most intense peaks (2θ from 10° to 90°), by angle:
2θ/deg  I (rel.)  index
28.74  100  0 4 0
41.08  63  4 0 0
41.17  13  4 0 -4
50.85  14  4 4 0
50.98  13  4 4 -4
67.44  20  0 8 2
74.79  13  4 4 2
74.96  13  4 8 -4



[6]
# Nd2Er2Te7
Computed X-ray diffraction stick pattern, a wavelength of 1.5418 Å. Input: DFT lattice parameters and positions (GGA-PBE).
Peak positions follow from Bragg's law for the DFT cell and can differ from measured ones.

Crystal structure
```
data_Nd2Er2Te7
_symmetry_space_group_name_H-M 'I m m 2'
_symmetry_Int_Tables_number 44
_symmetry_space_group_name_Hall 'I 2 -2'
_cell_length_a 4.307
_cell_length_b 15.982
_cell_length_c 9.894
_cell_angle_alpha 90.00
_cell_angle_beta 90.00
_cell_angle_gamma 90.00
loop_
_atom_site_label
_atom_site_type_symbol
_atom_site_fract_x
_atom_site_fract_y
_atom_site_fract_z
Nd1 Nd 0.000 0.242 0.000
Er1 Er 0.000 0.000 0.772
Er2 Er 0.000 0.500 0.828
Te1 Te 0.000 0.000 0.095
Te2 Te 0.000 0.107 0.497
Te3 Te 0.000 0.327 0.702
Te4 Te 0.000 0.361 0.309
```

The 8 most intense peaks (2θ from 10° to 90°), by angle:
2θ/deg  I (rel.)  index
28.03  31  1 1 2
31.87  100  1 4 1
32.28  32  1 3 2
36.10  45  1 2 3
38.38  26  0 6 2
41.96  26  2 0 0
56.07  22  1 4 5
58.16  16  2 6 2



[7]
# NdEr3Te6
Computed X-ray diffraction stick pattern, a wavelength of 1.5418 Å. Input: DFT lattice parameters and positions (GGA-PBE).
Peak positions follow from Bragg's law for the DFT cell and can differ from measured ones.

Crystal structure
```
data_NdEr3Te6
_symmetry_space_group_name_H-M 'P 1 21/m 1'
_symmetry_Int_Tables_number 11
_symmetry_space_group_name_Hall '-P 2yb'
_cell_length_a 12.452
_cell_length_b 4.369
_cell_length_c 12.791
_cell_angle_alpha 90.00
_cell_angle_beta 109.34
_cell_angle_gamma 90.00
loop_
_atom_site_label
_atom_site_type_symbol
_atom_site_fract_x
_atom_site_fract_y
_atom_site_fract_z
Nd1 Nd 0.047 0.250 0.198
Er1 Er 0.156 0.250 0.583
Er2 Er 0.318 0.750 0.999
Er3 Er 0.436 0.250 0.335
Te1 Te 0.085 0.750 0.404
Te2 Te 0.116 0.250 0.968
Te3 Te 0.196 0.750 0.750
Te4 Te 0.259 0.750 0.223
Te5 Te 0.391 0.250 0.560
Te6 Te 0.483 0.250 0.117
```

The 8 most intense peaks (2θ from 10° to 90°), by angle:
2θ/deg  I (rel.)  index
23.73  42  1 1 1
27.87  100  2 1 1
28.43  61  2 0 -4
30.66  74  3 1 0
37.23  37  0 0 5
37.52  73  4 1 -3
39.07  38  1 1 4
41.33  71  0 2 0



[8]
# Nd8Er2Th
Computed X-ray diffraction stick pattern, a wavelength of 1.5418 Å. Input: DFT lattice parameters and positions (GGA-PBE).
Peak positions follow from Bragg's law for the DFT cell and can differ from measured ones.

Crystal structure
```
data_Nd8Er2Th
_symmetry_space_group_name_H-M 'C m m m'
_symmetry_Int_Tables_number 65
_symmetry_space_group_name_Hall '-C 2 2'
_cell_length_a 10.436
_cell_length_b 13.642
_cell_length_c 5.459
_cell_angle_alpha 90.00
_cell_angle_beta 90.00
_cell_angle_gamma 90.00
loop_
_atom_site_label
_atom_site_type_symbol
_atom_site_fract_x
_atom_site_fract_y
_atom_site_fract_z
Nd1 Nd 0.000 0.248 0.000
Nd2 Nd 0.166 0.369 0.500
Nd3 Nd 0.168 0.000 0.000
Er1 Er 0.000 0.119 0.500
Th1 Th 0.000 0.500 0.000
```

The 8 most intense peaks (2θ from 10° to 90°), by angle:
2θ/deg  I (rel.)  index
30.92  100  0 4 1
31.18  88  3 1 1
32.40  43  3 3 0
32.81  43  0 0 2
42.09  18  3 5 0
46.78  31  3 3 2
56.71  19  3 7 1
62.29  28  6 4 1



[9]
# NdErTh3
Computed X-ray diffraction stick pattern, a wavelength of 1.5418 Å. Input: DFT lattice parameters and positions (GGA-PBE).
Peak positions follow from Bragg's law for the DFT cell and can differ from measured ones.

Crystal structure
```
data_NdErTh3
_symmetry_space_group_name_H-M 'I m m a'
_symmetry_Int_Tables_number 74
_symmetry_space_group_name_Hall '-I 2b 2'
_cell_length_a 9.984
_cell_length_b 11.879
_cell_length_c 5.992
_cell_angle_alpha 90.00
_cell_angle_beta 90.00
_cell_angle_gamma 90.00
loop_
_atom_site_label
_atom_site_type_symbol
_atom_site_fract_x
_atom_site_fract_y
_atom_site_fract_z
Nd1 Nd 0.250 0.250 0.250
Er1 Er 0.000 0.250 0.695
Th1 Th 0.000 0.000 0.000
Th2 Th 0.168 0.000 0.500
```

The 8 most intense peaks (2θ from 10° to 90°), by angle:
2θ/deg  I (rel.)  index
14.92  43  0 2 0
24.39  41  2 1 1
30.09  64  0 4 0
30.73  47  3 0 1
33.50  90  0 2 2
34.32  100  3 2 1
43.55  38  3 4 1
56.20  26  3 6 1



[10]
# NdEr4Th
Computed X-ray diffraction stick pattern, a wavelength of 1.5418 Å. Input: DFT lattice parameters and positions (GGA-PBE).
Peak positions follow from Bragg's law for the DFT cell and can differ from measured ones.

Crystal structure
```
data_NdEr4Th
_symmetry_space_group_name_H-M 'P -1'
_symmetry_Int_Tables_number 2
_symmetry_space_group_name_Hall '-P 1'
_cell_length_a 3.551
_cell_length_b 6.130
_cell_length_c 9.387
_cell_angle_alpha 96.17
_cell_angle_beta 100.89
_cell_angle_gamma 106.72
loop_
_atom_site_label
_atom_site_type_symbol
_atom_site_fract_x
_atom_site_fract_y
_atom_site_fract_z
Nd1 Nd 0.000 0.000 0.000
Er1 Er 0.161 0.494 0.828
Er2 Er 0.328 0.995 0.661
Th1 Th 0.500 0.500 0.500
```

The 8 most intense peaks (2θ from 10° to 90°), by angle:
2θ/deg  I (rel.)  index
30.84  99  1 0 1
30.91  98  0 2 0
35.80  100  1 1 -2
51.49  48  -2 1 1
51.61  24  0 3 -3
61.27  42  2 0 -4
61.35  21  1 3 -2
86.81  16  3 -3 0



[11]
# Nd4Er3Th
Computed X-ray diffraction stick pattern, a wavelength of 1.5418 Å. Input: DFT lattice parameters and positions (GGA-PBE).
Peak positions follow from Bragg's law for the DFT cell and can differ from measured ones.

Crystal structure
```
data_Nd4Er3Th
_symmetry_space_group_name_H-M 'C 1 2/m 1'
_symmetry_Int_Tables_number 12
_symmetry_space_group_name_Hall '-C 2y'
_cell_length_a 24.165
_cell_length_b 3.617
_cell_length_c 6.254
_cell_angle_alpha 90.00
_cell_angle_beta 104.69
_cell_angle_gamma 90.00
loop_
_atom_site_label
_atom_site_type_symbol
_atom_site_fract_x
_atom_site_fract_y
_atom_site_fract_z
Nd1 Nd 0.124 0.000 0.455
Nd2 Nd 0.249 0.000 0.246
Er1 Er 0.000 0.500 0.500
Er2 Er 0.122 0.500 0.957
Th1 Th 0.000 0.000 0.000
```

The 8 most intense peaks (2θ from 10° to 90°), by angle:
2θ/deg  I (rel.)  index
29.54  41  0 0 2
30.60  39  8 0 0
32.43  100  5 1 -1
32.55  18  6 0 -2
36.77  15  5 1 1
50.51  30  0 2 0
55.47  12  10 0 2
55.66  14  13 1 -1



[12]
# NdEr5Th4
Computed X-ray diffraction stick pattern, a wavelength of 1.5418 Å. Input: DFT lattice parameters and positions (GGA-PBE).
Peak positions follow from Bragg's law for the DFT cell and can differ from measured ones.

Crystal structure
```
data_NdEr5Th4
_symmetry_space_group_name_H-M 'P 1'
_symmetry_Int_Tables_number 1
_symmetry_space_group_name_Hall 'P 1'
_cell_length_a 6.222
_cell_length_b 6.794
_cell_length_c 9.188
_cell_angle_alpha 108.99
_cell_angle_beta 90.02
_cell_angle_gamma 117.25
loop_
_atom_site_label
_atom_site_type_symbol
_atom_site_fract_x
_atom_site_fract_y
_atom_site_fract_z
Nd1 Nd 0.000 0.000 0.000
Er1 Er 0.068 0.794 0.299
Er2 Er 0.393 0.791 0.795
Er3 Er 0.464 0.596 0.097
Er4 Er 0.667 0.999 0.500
Er5 Er 0.793 0.591 0.593
Th1 Th 0.196 0.388 0.395
Th2 Th 0.271 0.204 0.699
Th3 Th 0.601 0.204 0.202
Th4 Th 0.853 0.384 0.891
```

The 8 most intense peaks (2θ from 10° to 90°), by angle:
2θ/deg  I (rel.)  index
28.73  23  -1 1 2
31.03  26  0 2 -2
32.74  100  2 0 -1
42.79  16  1 1 -4
50.87  13  -3 2 2
56.28  18  2 2 -3
60.80  19  3 0 -4
61.82  11  4 -3 1